Computed powder X-ray diffraction pattern
Compound: KMg6TiO8
Radiation: λ = 1.5418 Å (Cu Kα)
Structure: a crystal structure in the Materials Project, relaxed with PBE
No peak broadening, texture or thermal motion is included.

Top 8 peaks for 10° ≤ 2θ ≤ 90°, low angle first:
- hkl 0 0 1, 2θ 10.1, I 10.1
- hkl 0 0 3, 2θ 30.4, I 8.0
- hkl 1 1 2, 2θ 35.3, I 27.5
- hkl 2 0 0, 2θ 40.9, I 100.0
- hkl 0 0 4, 2θ 41.0, I 47.3
- hkl 2 2 0, 2θ 59.3, I 82.5
- hkl 3 1 2, 2θ 70.8, I 9.9
- hkl 2 2 4, 2θ 74.5, I 24.5

```
data_KMg6TiO8
_chemical_formula_sum 'K1 Mg6 Ti1 O8'
_space_group_name_H-M_alt 'P 1'
_space_group_IT_number 1
_cell_length_a 4.4140
_cell_length_b 4.4140
_cell_length_c 8.8012
_cell_angle_alpha 90.00
_cell_angle_beta 90.00
_cell_angle_gamma 90.00
loop_
_space_group_symop_operation_xyz
'x,y,z'
loop_
_atom_site_label
_atom_site_fract_x
_atom_site_fract_y
_atom_site_fract_z
K1 0.0000 0.0000 0.0000
Mg1 0.0000 0.0000 0.5000
Mg2 0.0000 0.5000 0.2569
Mg3 0.0000 0.5000 0.7431
Mg4 0.5000 0.0000 0.2569
Mg5 0.5000 0.0000 0.7431
Mg6 0.5000 0.5000 0.5000
Ti1 0.5000 0.5000 0.0000
O1 0.0000 0.0000 0.2756
O2 0.0000 0.0000 0.7244
O3 0.0000 0.5000 0.0000
O4 0.0000 0.5000 0.5000
O5 0.5000 0.0000 0.0000
O6 0.5000 0.0000 0.5000
O7 0.5000 0.5000 0.2431
O8 0.5000 0.5000 0.7569
```

Computed powder X-ray diffraction pattern
Compound: GdAu
Radiation: λ = 1.5418 Å (Cu Kα)
Structure: a crystal structure in the Materials Project, relaxed with PBE
No peak broadening, texture or thermal motion is included.

Top 8 peaks for 10° ≤ 2θ ≤ 90°, low angle first:
- hkl 1 0 0, 2θ 24.4, I 1.7
- hkl 1 1 0, 2θ 34.8, I 100.0
- hkl 1 1 1, 2θ 42.9, I 0.6
- hkl 2 0 0, 2θ 50.0, I 18.1
- hkl 2 1 0, 2θ 56.4, I 0.8
- hkl 2 1 1, 2θ 62.3, I 37.5
- hkl 2 2 0, 2θ 73.3, I 11.7
- hkl 3 1 0, 2θ 83.8, I 16.8

```
data_GdAu
_chemical_formula_sum 'Gd1 Au1'
_space_group_name_H-M_alt 'P 1'
_space_group_IT_number 1
_cell_length_a 3.6509
_cell_length_b 3.6509
_cell_length_c 3.6509
_cell_angle_alpha 90.00
_cell_angle_beta 90.00
_cell_angle_gamma 90.00
loop_
_space_group_symop_operation_xyz
'x,y,z'
loop_
_atom_site_label
_atom_site_fract_x
_atom_site_fract_y
_atom_site_fract_z
Gd1 0.0000 0.0000 0.0000
Au1 0.5000 0.5000 0.5000
```

Computed powder X-ray diffraction pattern
Compound: PdCNCl2O
Radiation: λ = 1.5418 Å (Cu Kα)
Structure: a crystal structure in the Materials Project, relaxed with PBE
No peak broadening, texture or thermal motion is included.

Top 8 peaks for 10° ≤ 2θ ≤ 90°, low angle first:
- hkl 0 1 1, 2θ 11.5, I 100.0
- hkl 0 0 2, 2θ 12.0, I 59.8
- hkl 1 1 0, 2θ 23.3, I 16.5
- hkl 1 1 -1, 2θ 23.4, I 11.9
- hkl 1 1 -2, 2θ 25.1, I 11.7
- hkl 1 1 -3, 2θ 28.0, I 18.0
- hkl 1 2 -1, 2θ 29.1, I 29.4
- hkl 1 1 4, 2θ 35.7, I 11.3

```
data_PdCNCl2O
_chemical_formula_sum 'Pd4 C4 N4 Cl8 O4'
_space_group_name_H-M_alt 'P 1'
_space_group_IT_number 1
_cell_length_a 4.2438
_cell_length_b 9.0196
_cell_length_c 14.8257
_cell_angle_alpha 90.00
_cell_angle_beta 96.70
_cell_angle_gamma 90.00
loop_
_space_group_symop_operation_xyz
'x,y,z'
loop_
_atom_site_label
_atom_site_fract_x
_atom_site_fract_y
_atom_site_fract_z
Pd1 0.1938 0.1028 0.0408
Pd2 0.1938 0.3972 0.5408
Pd3 0.8062 0.6028 0.4592
Pd4 0.8062 0.8972 0.9592
C1 0.0009 0.0854 0.9055
C2 0.0009 0.4146 0.4055
C3 0.9991 0.5854 0.5945
C4 0.9991 0.9146 0.0945
N1 0.0228 0.0135 0.6515
N2 0.0228 0.4865 0.1515
N3 0.9772 0.5135 0.8485
N4 0.9772 0.9865 0.3485
Cl1 0.4207 0.1603 0.1843
Cl2 0.4207 0.3397 0.6843
Cl3 0.4938 0.1987 0.5035
Cl4 0.4938 0.3013 0.0035
Cl5 0.5062 0.6987 0.9965
Cl6 0.5062 0.8013 0.4965
Cl7 0.5793 0.6603 0.3157
Cl8 0.5793 0.8397 0.8157
O1 0.0020 0.1482 0.8378
O2 0.0020 0.3518 0.3378
O3 0.9980 0.6482 0.6622
O4 0.9980 0.8518 0.1622
```

Computed powder X-ray diffraction pattern
Compound: CsMg14B
Radiation: λ = 1.5418 Å (Cu Kα)
Structure: a crystal structure in the Materials Project, relaxed with PBE
No peak broadening, texture or thermal motion is included.

Top 8 peaks for 10° ≤ 2θ ≤ 90°, low angle first:
- hkl 1 0 0, 2θ 16.0, I 18.1
- hkl 1 0 1, 2θ 18.0, I 41.5
- hkl 1 1 1, 2θ 29.2, I 18.5
- hkl 1 0 3, 2θ 29.5, I 21.8
- hkl 2 0 0, 2θ 32.4, I 26.4
- hkl 0 0 4, 2θ 33.0, I 24.5
- hkl 2 0 2, 2θ 36.5, I 100.0
- hkl 2 2 0, 2θ 57.8, I 17.3

```
data_CsMg14B
_chemical_formula_sum 'Cs1 Mg14 B1'
_space_group_name_H-M_alt 'P 1'
_space_group_IT_number 1
_cell_length_a 6.3851
_cell_length_b 6.3851
_cell_length_c 10.8474
_cell_angle_alpha 90.00
_cell_angle_beta 90.00
_cell_angle_gamma 120.00
loop_
_space_group_symop_operation_xyz
'x,y,z'
loop_
_atom_site_label
_atom_site_fract_x
_atom_site_fract_y
_atom_site_fract_z
Cs1 0.0000 0.0000 0.0000
Mg1 0.0046 0.5023 0.0000
Mg2 0.1627 0.3253 0.2836
Mg3 0.1627 0.3253 0.7164
Mg4 0.1627 0.8373 0.2836
Mg5 0.1627 0.8373 0.7164
Mg6 0.4977 0.5023 0.0000
Mg7 0.4977 0.9954 0.0000
Mg8 0.5057 0.0113 0.5000
Mg9 0.5057 0.4943 0.5000
Mg10 0.6667 0.3333 0.2416
Mg11 0.6667 0.3333 0.7584
Mg12 0.6747 0.8373 0.2836
Mg13 0.6747 0.8373 0.7164
Mg14 0.9887 0.4943 0.5000
B1 0.0000 0.0000 0.5000
```

Computed powder X-ray diffraction pattern
Compound: U2Si3Ru
Radiation: λ = 1.5418 Å (Cu Kα)
Structure: a crystal structure in the Materials Project, relaxed with PBE
No peak broadening, texture or thermal motion is included.

Top 8 peaks for 10° ≤ 2θ ≤ 90°, low angle first:
- hkl 0 1 1, 2θ 24.8, I 50.8
- hkl 0 0 2, 2θ 25.1, I 24.3
- hkl 1 1 1, 2θ 34.9, I 100.0
- hkl 1 0 2, 2θ 35.2, I 49.0
- hkl 0 2 0, 2θ 43.4, I 18.6
- hkl 0 1 3, 2θ 44.1, I 35.3
- hkl 1 2 2, 2θ 57.1, I 25.0
- hkl 2 1 3, 2θ 68.5, I 19.6

```
data_U2Si3Ru
_chemical_formula_sum 'U2 Si3 Ru1'
_space_group_name_H-M_alt 'P 1'
_space_group_IT_number 1
_cell_length_a 3.6741
_cell_length_b 4.1683
_cell_length_c 7.0841
_cell_angle_alpha 90.00
_cell_angle_beta 90.00
_cell_angle_gamma 90.00
loop_
_space_group_symop_operation_xyz
'x,y,z'
loop_
_atom_site_label
_atom_site_fract_x
_atom_site_fract_y
_atom_site_fract_z
U1 0.0000 0.0000 0.0000
U2 0.0000 0.5000 0.4903
Si1 0.5000 0.0000 0.6688
Si2 0.5000 0.5000 0.1549
Si3 0.5000 0.5000 0.8254
Ru1 0.5000 0.0000 0.3288
```